[1]
Rb3Zn2AgF9: theoretical powder diffraction line list (Cu Kα (λ = 1.5418 Å)), based on a cell relaxed with PBE.

Crystal structure
a = 6.0358 Å, b = 6.0358 Å, c = 7.4240 Å
α = 90.00°, β = 90.00°, γ = 120.00°
Space group P-3m1 (No. 164)
Unique sites:
Rb1 0.0000 0.0000 0.0000 x1
Rb2 0.3333 0.6667 0.6632 x2
Zn1 0.3333 0.6667 0.1561 x2
Ag1 0.0000 0.0000 0.5000 x1
F1 0.0000 0.5000 0.0000 x3
F2 0.1754 0.3508 0.3199 x6

Top 12 peaks for 15 to 90 degrees two-theta, low angle first:
3.022 Å, 29.56°, intensity 100; 2.137 Å, 42.29°, intensity 41; 1.749 Å, 52.31°, intensity 10; 1.743 Å, 52.48°, intensity 29; 1.513 Å, 61.25°, intensity 12; 1.509 Å, 61.45°, intensity 12; 1.353 Å, 69.49°, intensity 9; 1.350 Å, 69.62°, intensity 9; 1.233 Å, 77.43°, intensity 6; 1.145 Å, 84.66°, intensity 5; 1.143 Å, 84.87°, intensity 5; 1.141 Å, 85.02°, intensity 10


[2]
RbZn3Ag4F12: theoretical powder diffraction line list (Cu Kα (λ = 1.5418 Å)), based on a cell relaxed with PBE.

Crystal structure
a = 8.5812 Å, b = 8.5812 Å, c = 8.5812 Å
α = 90.00°, β = 90.00°, γ = 90.00°
Space group Im-3 (No. 204)
Unique sites:
Rb1 0.0000 0.0000 0.0000 x2
Zn1 0.0000 0.0000 0.5000 x6
Ag1 0.2500 0.2500 0.2500 x8
F1 0.0000 0.3347 0.1604 x24

Top 12 peaks for 15 to 90 degrees two-theta, low angle first:
4.291 Å, 20.70°, intensity 5; 3.034 Å, 29.44°, intensity 100; 2.714 Å, 33.01°, intensity 5; 2.293 Å, 39.28°, intensity 2; 2.145 Å, 42.12°, intensity 21; 1.919 Å, 47.38°, intensity 4; 1.752 Å, 52.22°, intensity 51; 1.517 Å, 61.09°, intensity 12; 1.357 Å, 69.25°, intensity 19; 1.294 Å, 73.16°, intensity 1; 1.239 Å, 76.99°, intensity 5; 1.147 Å, 84.49°, intensity 19


[3]
RbZnAg2F5: theoretical powder diffraction line list (Cu Kα (λ = 1.5418 Å)), based on a cell relaxed with PBE.

Crystal structure
a = 4.1091 Å, b = 6.0872 Å, c = 11.6353 Å
α = 90.00°, β = 90.00°, γ = 90.00°
Space group Immm (No. 71)
Unique sites:
Rb1 0.0000 0.0000 0.0000 x2
Zn1 0.0000 0.0000 0.5000 x2
Ag1 0.0000 0.5000 0.2183 x4
F1 0.0000 0.2349 0.3720 x8
F2 0.0000 0.5000 0.0000 x2

Top 12 peaks for 15 to 90 degrees two-theta, low angle first:
3.271 Å, 27.26°, intensity 9; 3.044 Å, 29.34°, intensity 24; 2.939 Å, 30.41°, intensity 100; 2.909 Å, 30.74°, intensity 13; 2.393 Å, 37.58°, intensity 8; 2.103 Å, 43.01°, intensity 26; 2.055 Å, 44.08°, intensity 17; 2.025 Å, 44.76°, intensity 10; 1.736 Å, 52.72°, intensity 21; 1.703 Å, 53.84°, intensity 9; 1.685 Å, 54.44°, intensity 13; 1.470 Å, 63.28°, intensity 15